Theoretical powder X-ray diffraction pattern of SbTeCl3F6 for a wavelength of 1.5418 Å, from a cell relaxed with PBE.
No peak broadening, texture or thermal motion is included.

Cell: 17.501 8.669 6.540 Å, 90.00 90.00 90.00°
Space group Pnma (No. 62)
Symmetry-distinct sites (fractional):
Sb1 0.075 0.250 0.152 [4 per cell]
Te1 0.104 0.750 0.371 [4 per cell]
Cl1 0.143 0.557 0.592 [8 per cell]
Cl2 0.211 0.750 0.165 [4 per cell]
F1 0.026 0.750 0.963 [4 per cell]
F2 0.027 0.250 0.422 [4 per cell]
F3 0.074 0.027 0.160 [8 per cell]
F4 0.117 0.250 0.883 [4 per cell]
F5 0.174 0.250 0.273 [4 per cell]

Principal peaks in the range 2θ from 10° to 90°, by angle:
index, Position (°2θ), I/Imax
2 0 0, 10.11, 54
2 0 1, 16.93, 95
1 1 1, 17.73, 41
4 0 0, 20.30, 40
0 2 0, 20.47, 88
3 1 1, 22.85, 100
4 0 1, 24.48, 27
2 2 1, 26.69, 74
1 1 2, 29.64, 39
5 1 2, 39.10, 37
0 4 0, 41.68, 25
3 1 3, 45.64, 32